1.
Structure and simulated powder diffraction line list of HfZr (a cell relaxed with GGA-PBE; a wavelength of 1.5418 Å).
Peak positions follow from Bragg's law for the DFT cell and can differ from measured ones.

Structural model:
Cell lengths 3.2158, 3.2158, 5.1344 Å; angles 90.00, 90.00, 120.00 degrees
Positions (direct):
1 Hf 0.0000 0.0000 0.0000
2 Zr 0.6667 0.3333 0.5000

Top 8 peaks for 2θ = 10–90°, by intensity:
- 36.71 deg, intensity 100.0, hkl 1 0 1
- 32.14 deg, intensity 29.6, hkl 1 0 0
- 34.95 deg, intensity 24.6, hkl 0 0 2
- 68.91 deg, intensity 20.3, hkl 1 1 2
- 63.84 deg, intensity 19.8, hkl 1 0 3
- 48.21 deg, intensity 19.3, hkl 1 0 2
- 57.30 deg, intensity 17.7, hkl 1 1 0
- 70.01 deg, intensity 15.0, hkl 2 0 1

---

2.
Structure and simulated powder diffraction line list of Y4GeO8F2 (a cell relaxed with GGA-PBE; a wavelength of 1.5418 Å).
Peak positions follow from Bragg's law for the DFT cell and can differ from measured ones.

Structural model:
Cell lengths 5.6455, 6.4174, 6.9210 Å; angles 90.27, 109.78, 110.43 degrees
Positions (direct):
1 Y 0.0000 0.0000 0.0000
2 Y 0.1013 0.8665 0.5073
3 Y 0.4113 0.6413 0.1168
4 Y 0.6735 0.1987 0.3911
5 Ge 0.6410 0.3695 0.8886
6 O 0.0693 0.5047 0.4686
7 O 0.2840 0.8910 0.2638
8 O 0.4434 0.2743 0.0546
9 O 0.4844 0.1896 0.6489
10 O 0.6525 0.6499 0.8982
11 O 0.7021 0.5626 0.4210
12 O 0.8082 0.9674 0.2406
13 O 0.9700 0.3591 0.0072
14 F 0.1994 0.8030 0.8511
15 F 0.9091 0.0490 0.6584

Top 8 peaks for 2θ = 10–90°, by intensity:
- 27.45 deg, intensity 100.0, hkl 1 1 0
- 26.99 deg, intensity 67.0, hkl 1 0 -2
- 25.76 deg, intensity 64.2, hkl 1 -1 1
- 30.83 deg, intensity 58.0, hkl -1 2 1
- 49.90 deg, intensity 39.6, hkl 0 3 1
- 27.66 deg, intensity 33.2, hkl 0 0 2
- 31.98 deg, intensity 30.0, hkl -2 1 1
- 37.21 deg, intensity 29.3, hkl 1 -1 2